Structure and theoretical powder diffractogram of Na2Nb2W2O13 (a structure optimized by DFT (PBE+U); copper Kα).
Lines closer than 0.1° are merged.

Main lines, in order of rising 2θ (2θ = 10–80°):
14.5 deg, I = 100, (0 0 1); 14.6 deg, I = 41, (1 1 0); 17.3 deg, I = 11, (2 0 0); 27.6 deg, I = 15, (3 1 -2); 27.9 deg, I = 35, (0 2 1); 28.6 deg, I = 18, (2 0 1); 29.1 deg, I = 47, (4 0 -2); 29.5 deg, I = 51, (2 2 0); 33.5 deg, I = 20, (2 2 -2); 49.2 deg, I = 26, (6 2 -2); 50.9 deg, I = 9, (0 2 3); 57.0 deg, I = 13, (6 2 -4)

a b c (Å): 12.7830 7.4849 7.6419
angles (deg): 90.00 126.62 90.00
Space group Cm (No. 8)
Unique sites:
Na: 0.0000 0.2358 0.0000 [4 per cell]
Nb: 0.2116 0.5000 0.9505 [2 per cell]
Nb: 0.2333 0.5000 0.4778 [2 per cell]
W: 0.4700 0.2525 0.4319 [4 per cell]
O: 0.0290 0.0000 0.4905 [2 per cell]
O: 0.0922 0.3156 0.7328 [4 per cell]
O: 0.0940 0.3153 0.3778 [4 per cell]
O: 0.1429 0.5000 0.1072 [2 per cell]
O: 0.1816 0.0000 0.1517 [2 per cell]
O: 0.3063 0.5000 0.7726 [2 per cell]
O: 0.3479 0.3145 0.4903 [4 per cell]
O: 0.3489 0.3140 0.1282 [4 per cell]
O: 0.4033 0.0000 0.3649 [2 per cell]